For Sr4LaFe2Co3O15, a cell relaxed with PBE+U gives the simulated X-ray diffraction stick pattern in this record (copper Kα).

Largest 6 diffraction maxima, in order of falling intensity, 5° ≤ 2θ ≤ 70°:
hkl 1 0 -2, 2θ = 32.3°, rel. 100; hkl 1 0 3, 2θ = 32.5°, rel. 98; hkl 2 0 1, 2θ = 32.6°, rel. 50; hkl 0 2 -1, 2θ = 32.7°, rel. 48; hkl 0 3 1, 2θ = 40.0°, rel. 39; hkl 2 2 5, 2θ = 57.5°, rel. 38

Cell and atoms:
Lattice parameters (Å, degrees): 5.495 6.750 8.787 74.05 71.98 89.50
Fractional positions:
1 Sr 0.104 0.398 0.298
2 Sr 0.302 0.200 0.902
3 Sr 0.698 0.800 0.098
4 Sr 0.896 0.602 0.702
5 La 0.500 0.000 0.500
6 Fe 0.297 0.700 0.902
7 Fe 0.703 0.300 0.098
8 Co 0.102 0.899 0.298
9 Co 0.500 0.500 0.500
10 Co 0.898 0.101 0.702
11 O 0.000 0.000 0.500
12 O 0.000 0.500 0.000
13 O 0.084 0.909 0.792
14 O 0.199 0.806 0.095
15 O 0.240 0.297 0.598
16 O 0.267 0.699 0.397
17 O 0.389 0.615 0.692
18 O 0.415 0.092 0.214
19 O 0.500 0.500 0.000
20 O 0.585 0.908 0.786
21 O 0.611 0.385 0.308
22 O 0.733 0.301 0.603
23 O 0.760 0.703 0.402
24 O 0.801 0.194 0.905
25 O 0.916 0.091 0.208